[1]
Calculated X-ray diffraction stick pattern of V2H2Rh3 for Cu Kα, 1.54184 Å, from a structure optimized by DFT (PBE).
Kinematic intensities with the Lorentz-polarization factor, no thermal factor.

Atomic structure:
Cell lengths 2.7611, 4.1415, 13.3300 Å; angles 90.00, 90.00, 90.00 degrees
Space group Immm (No. 71)
Unique sites:
V1 0.0000 0.0000 0.1240
H1 0.0000 0.5000 0.4477
Rh1 0.0000 0.0000 0.3099
Rh2 0.0000 0.5000 0.0000

Largest 10 diffraction maxima, most intense first, 10 to 80 degrees two-theta:
d (Å)  I_rel  h k l
2.242  100  0 1 5
2.172  86  1 1 2
2.071  48  0 2 0
2.345  41  1 0 3
3.955  37  0 1 1
2.297  31  1 1 0
1.891  30  1 1 4
1.552  23  1 2 3
2.222  19  0 0 6
1.568  17  1 0 7

[2]
Calculated X-ray diffraction stick pattern of NaH6Pd3 for Cu Kα, 1.54184 Å, from a structure optimized by DFT (PBE).
Kinematic intensities with the Lorentz-polarization factor, no thermal factor.

Atomic structure:
Cell lengths 4.8699, 4.8738, 5.6405 Å; angles 115.02, 90.26, 119.92 degrees
Space group P1 (No. 1)
Unique sites:
Na1 0.0000 0.0000 0.0000
H1 0.1600 0.6030 0.3934
H2 0.4017 0.3430 0.8200
H3 0.4407 0.2398 0.3946
H4 0.4767 0.8779 0.8190
H5 0.7957 0.9596 0.3949
H6 0.9407 0.4186 0.8191
Pd1 0.2030 0.4081 0.6085
Pd2 0.5368 0.0759 0.6107
Pd3 0.8043 0.6117 0.4108

Largest 10 diffraction maxima, most intense first, 10 to 80 degrees two-theta:
d (Å)  I_rel  h k l
4.915  100  0 0 1
2.437  93  2 -1 0
2.191  23  1 1 0
2.178  22  2 -1 1
2.788  12  -1 1 1
2.764  12  0 1 -2
2.778  12  1 0 1
2.186  12  -2 1 1
2.174  11  1 -2 2
2.429  11  0 1 1

[3]
Calculated X-ray diffraction stick pattern of Cr2FeCl for Cu Kα, 1.54184 Å, from a structure optimized by DFT (PBE).
Kinematic intensities with the Lorentz-polarization factor, no thermal factor.

Atomic structure:
Cell lengths 2.7488, 2.7488, 23.9663 Å; angles 90.00, 90.00, 120.00 degrees
Space group R3m (No. 160, hexagonal axes)
Unique sites:
Cr1 0.0000 0.0000 0.0000
Cr2 0.0000 0.0000 0.2471
Fe1 0.0000 0.0000 0.7393
Cl1 0.0000 0.0000 0.5095

Largest 10 diffraction maxima, most intense first, 10 to 80 degrees two-theta:
d (Å)  I_rel  h k l
2.212  100  1 0 4
1.864  51  0 1 8
1.374  19  1 1 0
1.997  19  0 0 12
7.989  15  0 0 3
3.994  10  0 0 6
1.268  9  1 0 16
1.689  5  1 0 10
1.390  4  0 1 14
1.607  3  0 1 11

[4]
Calculated X-ray diffraction stick pattern of LiCaMgSiN3 for Cu Kα, 1.54184 Å, from a structure optimized by DFT (PBE).
Kinematic intensities with the Lorentz-polarization factor, no thermal factor.

Atomic structure:
Cell lengths 5.5941, 9.9066, 6.0368 Å; angles 90.00, 97.08, 90.00 degrees
Space group C2/m (No. 12)
Unique sites:
Li1 0.1803 0.0000 0.4097
Ca1 0.0000 0.1791 0.0000
Mg1 0.0000 0.2649 0.5000
Si1 0.1297 0.5000 0.1785
N1 0.1920 0.5000 0.8903
N2 0.2462 0.3549 0.3099

Largest 10 diffraction maxima, most intense first, 10 to 80 degrees two-theta:
d (Å)  I_rel  h k l
2.504  100  1 3 1
2.838  76  1 3 0
2.563  65  0 2 2
2.421  55  2 2 0
5.991  55  0 0 1
1.921  52  2 0 2
2.174  48  2 0 -2
3.582  44  1 1 1
2.630  43  1 3 -1
1.555  32  0 4 3